Entry 1:
The following is a simulated powder diffractogram of Sm3Ge5. It was derived from a cell relaxed with GGA-PBE, using Cu Kα (λ = 1.5418 Å).
Kinematic intensities with the Lorentz-polarization factor, no thermal factor.

Main lines, low angle first (2θ = 5–70°):
2θ 28.67, I = 39
2θ 32.95, I = 100
2θ 38.65, I = 44
2θ 43.42, I = 38
2θ 50.48, I = 18
2θ 59.51, I = 22

Atomic structure:
```
Sm3Ge5
1.0
0.000 8.842 7.023
2.949 0.000 7.023
2.949 8.842 0.000
Sm Ge
6 10
direct
0.000 0.000 0.000
0.250 0.250 0.250
0.317 0.669 0.346
0.582 0.904 0.581
0.669 0.317 0.668
0.904 0.582 0.933
0.067 0.759 0.259
0.208 0.477 0.930
0.320 0.866 0.042
0.335 0.991 0.491
0.477 0.208 0.384
0.552 0.552 0.448
0.759 0.067 0.915
0.802 0.802 0.698
0.866 0.320 0.773
0.991 0.335 0.183
```

---

Entry 2:
The following is a simulated powder diffractogram of KSn2I5. It was derived from a cell relaxed with GGA-PBE, using Cu Kα (λ = 1.5418 Å).
Kinematic intensities with the Lorentz-polarization factor, no thermal factor.

Main lines, low angle first (2θ = 5–70°):
2θ 11.02, I = 29
2θ 26.25, I = 17
2θ 27.71, I = 100
2θ 31.40, I = 44
2θ 35.76, I = 25
2θ 44.80, I = 25

Atomic structure:
```
KSn2I5
1.0
-4.505 4.505 8.026
4.505 -4.505 8.026
4.505 4.505 -8.026
K Sn I
2 4 10
direct
0.250 0.250 0.000
0.750 0.750 0.000
0.178 0.678 0.856
0.322 0.178 0.500
0.678 0.822 0.500
0.822 0.322 0.144
0.000 0.000 0.000
0.023 0.206 0.500
0.206 0.706 0.183
0.294 0.477 0.500
0.477 0.977 0.183
0.500 0.500 0.000
0.523 0.023 0.817
0.706 0.523 0.500
0.794 0.294 0.817
0.977 0.794 0.500
```

---

Entry 3:
The following is a simulated powder diffractogram of HfZrFe4. It was derived from a cell relaxed with GGA-PBE, using Cu Kα (λ = 1.5418 Å).
Kinematic intensities with the Lorentz-polarization factor, no thermal factor.

Main lines, low angle first (2θ = 5–70°):
2θ 21.95, I = 16
2θ 36.23, I = 59
2θ 42.76, I = 100
2θ 44.77, I = 18
2θ 65.17, I = 21
2θ 69.67, I = 30

Atomic structure:
```
HfZrFe4
1.0
0.000 3.507 3.507
3.507 0.000 3.507
3.507 3.507 0.000
Hf Zr Fe
1 1 4
direct
0.000 0.000 0.000
0.250 0.250 0.250
0.124 0.625 0.625
0.625 0.124 0.625
0.625 0.625 0.124
0.625 0.625 0.625
```

---

Entry 4:
The following is a simulated powder diffractogram of Cd2SnGeAs4. It was derived from a cell relaxed with GGA-PBE, using Cu Kα (λ = 1.5418 Å).
Kinematic intensities with the Lorentz-polarization factor, no thermal factor.

Main lines, low angle first (2θ = 5–70°):
2θ 25.43, I = 100
2θ 41.54, I = 26
2θ 42.42, I = 49
2θ 49.34, I = 32
2θ 50.88, I = 15
2θ 67.70, I = 12

Atomic structure:
```
Cd2SnGeAs4
1.0
-3.075 3.075 5.911
3.075 -3.075 5.911
3.075 3.075 -5.911
Cd Sn Ge As
2 1 1 4
direct
0.000 0.000 0.000
0.750 0.250 0.500
0.250 0.750 0.500
0.500 0.500 0.000
0.147 0.143 0.529
0.382 0.853 0.997
0.614 0.618 0.471
0.857 0.386 0.003
```

---

Entry 5:
The following is a simulated powder diffractogram of Tm2TlCd. It was derived from a cell relaxed with GGA-PBE, using Cu Kα (λ = 1.5418 Å).
Kinematic intensities with the Lorentz-polarization factor, no thermal factor.

Main lines, low angle first (2θ = 5–70°):
2θ 20.64, I = 4
2θ 34.01, I = 100
2θ 40.12, I = 2
2θ 48.87, I = 18
2θ 53.59, I = 1
2θ 60.88, I = 37

Atomic structure:
```
Tm2TlCd
1.0
0.000 3.727 3.727
3.727 0.000 3.727
3.727 3.727 0.000
Tm Tl Cd
2 1 1
direct
0.250 0.250 0.250
0.750 0.750 0.750
0.000 0.000 0.000
0.500 0.500 0.500
```

---

Entry 6:
The following is a simulated powder diffractogram of WBr5. It was derived from a cell relaxed with GGA-PBE, using Cu Kα (λ = 1.5418 Å).
Kinematic intensities with the Lorentz-polarization factor, no thermal factor.

Main lines, low angle first (2θ = 5–70°):
2θ 14.38, I = 100
2θ 14.60, I = 65
2θ 29.94, I = 75
2θ 31.41, I = 56
2θ 33.22, I = 50
2θ 36.78, I = 99

Atomic structure:
```
WBr5
1.0
6.894 0.000 0.000
-3.284 6.675 0.000
-0.148 -3.846 9.213
W Br
2 10
direct
0.102 0.497 0.214
0.898 0.503 0.786
0.063 0.739 0.574
0.113 0.281 0.851
0.231 0.719 0.958
0.294 0.271 0.242
0.427 0.729 0.334
0.573 0.271 0.666
0.706 0.729 0.758
0.769 0.281 0.042
0.887 0.719 0.149
0.937 0.261 0.426
```

---

Entry 7:
The following is a simulated powder diffractogram of KPbI3. It was derived from a cell relaxed with GGA-PBE, using Cu Kα (λ = 1.5418 Å).
Kinematic intensities with the Lorentz-polarization factor, no thermal factor.

Main lines, low angle first (2θ = 5–70°):
2θ 9.78, I = 39
2θ 10.13, I = 47
2θ 25.62, I = 78
2θ 27.15, I = 100
2θ 31.73, I = 44
2θ 37.62, I = 37

Atomic structure:
```
KPbI3
1.0
10.567 0.000 0.000
0.000 4.782 0.000
0.000 0.000 17.458
K Pb I
4 4 12
direct
0.067 0.250 0.176
0.433 0.750 0.676
0.567 0.250 0.324
0.933 0.750 0.824
0.167 0.750 0.441
0.333 0.250 0.941
0.667 0.750 0.059
0.833 0.250 0.559
0.025 0.750 0.613
0.156 0.750 0.009
0.205 0.250 0.781
0.295 0.750 0.281
0.344 0.250 0.509
0.475 0.250 0.113
0.525 0.750 0.887
0.656 0.750 0.491
0.705 0.250 0.719
0.795 0.750 0.219
0.844 0.250 0.991
0.975 0.250 0.387
```

---

Entry 8:
The following is a simulated powder diffractogram of BaFe2P2. It was derived from a cell relaxed with GGA-PBE, using Cu Kα (λ = 1.5418 Å).
Kinematic intensities with the Lorentz-polarization factor, no thermal factor.

Main lines, low angle first (2θ = 5–70°):
2θ 24.33, I = 51
2θ 28.93, I = 39
2θ 31.92, I = 100
2θ 36.22, I = 94
2θ 47.48, I = 41
2θ 56.14, I = 48

Atomic structure:
```
BaFe2P2
1.0
-1.915 1.915 6.173
1.915 -1.915 6.173
1.915 1.915 -6.173
Ba Fe P
1 2 2
direct
0.000 0.000 0.000
0.250 0.750 0.500
0.750 0.250 0.500
0.339 0.339 0.000
0.661 0.661 0.000
```

---

Repeat the second record exactly.
The following is a simulated powder diffractogram of KSn2I5. It was derived from a cell relaxed with GGA-PBE, using Cu Kα (λ = 1.5418 Å).
Kinematic intensities with the Lorentz-polarization factor, no thermal factor.

Main lines, low angle first (2θ = 5–70°):
2θ 11.02, I = 29
2θ 26.25, I = 17
2θ 27.71, I = 100
2θ 31.40, I = 44
2θ 35.76, I = 25
2θ 44.80, I = 25

Atomic structure:
```
KSn2I5
1.0
-4.505 4.505 8.026
4.505 -4.505 8.026
4.505 4.505 -8.026
K Sn I
2 4 10
direct
0.250 0.250 0.000
0.750 0.750 0.000
0.178 0.678 0.856
0.322 0.178 0.500
0.678 0.822 0.500
0.822 0.322 0.144
0.000 0.000 0.000
0.023 0.206 0.500
0.206 0.706 0.183
0.294 0.477 0.500
0.477 0.977 0.183
0.500 0.500 0.000
0.523 0.023 0.817
0.706 0.523 0.500
0.794 0.294 0.817
0.977 0.794 0.500
```